[1]
Diffraction record for Ac2CdAgAu6. The powder diffraction line list is simulated, not measured: it uses a cell relaxed with GGA-PBE and Cu Kα.
Kinematic intensities with the Lorentz-polarization factor, no thermal factor.

Atomic structure:
Lattice parameters (Å, degrees): 5.4817 7.0869 7.5406 81.32 68.74 67.26
Fractional positions:
Ac 0.2350 0.2357 0.2933
Ac 0.7650 0.7643 0.7067
Cd 0.0000 0.0000 0.0000
Ag 0.5000 0.5000 0.5000
Au 0.2238 0.7762 0.2753
Au 0.2567 0.5722 0.9149
Au 0.2756 0.2236 0.7246
Au 0.7244 0.7764 0.2754
Au 0.7433 0.4278 0.0851
Au 0.7762 0.2238 0.7247

Main lines, low angle first (2θ from 10° to 80°):
| d_spacing | 2theta | intensity |
| --- | --- | --- |
| 3.428 | 25.99 | 29 |
| 2.451 | 36.66 | 39 |
| 2.408 | 37.34 | 56 |
| 2.381 | 37.78 | 100 |
| 2.375 | 37.89 | 57 |
| 2.323 | 38.77 | 39 |

***

[2]
Diffraction record for Ac2Si3AgAu12. The powder diffraction line list is simulated, not measured: it uses a cell relaxed with GGA-PBE and Cu Kα.
Kinematic intensities with the Lorentz-polarization factor, no thermal factor.

Atomic structure:
Lattice parameters (Å, degrees): 8.0795 8.0795 8.0795 67.56 67.56 67.56
Fractional positions:
Ac 0.1086 0.1086 0.1086
Ac 0.8914 0.8914 0.8914
Si 0.0000 0.5000 0.5000
Si 0.5000 0.0000 0.5000
Si 0.5000 0.5000 0.0000
Ag 0.5000 0.5000 0.5000
Au 0.1254 0.6346 0.6346
Au 0.1834 0.1834 0.6393
Au 0.1834 0.6393 0.1834
Au 0.3607 0.8166 0.8166
Au 0.3654 0.3654 0.8746
Au 0.3654 0.8746 0.3654
Au 0.6346 0.1254 0.6346
Au 0.6346 0.6346 0.1254
Au 0.6393 0.1834 0.1834
Au 0.8166 0.3607 0.8166
Au 0.8166 0.8166 0.3607
Au 0.8746 0.3654 0.3654

Main lines, low angle first (2θ from 10° to 80°):
| d_spacing | 2theta | intensity |
| --- | --- | --- |
| 2.983 | 29.96 | 93 |
| 2.804 | 31.92 | 22 |
| 2.687 | 33.34 | 60 |
| 2.246 | 40.15 | 100 |
| 1.818 | 50.17 | 21 |
| 1.520 | 60.95 | 27 |

***

[3]
Diffraction record for Ac2AgSnAu6. The powder diffraction line list is simulated, not measured: it uses a cell relaxed with GGA-PBE and Cu Kα.
Kinematic intensities with the Lorentz-polarization factor, no thermal factor.

Atomic structure:
Lattice parameters (Å, degrees): 5.5400 7.0528 7.5299 80.77 68.52 66.90
Fractional positions:
Ac 0.0263 0.2349 0.2131
Ac 0.9737 0.7651 0.7869
Ag 0.5000 0.5000 0.0000
Sn 0.5000 0.0000 0.5000
Au 0.0011 0.7741 0.2232
Au 0.3316 0.4286 0.4107
Au 0.4969 0.2253 0.7783
Au 0.5031 0.7747 0.2217
Au 0.6684 0.5714 0.5893
Au 0.9989 0.2259 0.7768

Main lines, low angle first (2θ from 10° to 80°):
| d_spacing | 2theta | intensity |
| --- | --- | --- |
| 3.503 | 25.43 | 32 |
| 2.463 | 36.47 | 47 |
| 2.401 | 37.46 | 100 |
| 2.388 | 37.67 | 80 |
| 2.357 | 38.19 | 59 |
| 2.324 | 38.75 | 44 |